[1]
Starting from a PBE+U-relaxed structure, the XRD peak list of CaMn2B2O6 was calculated for copper Kα.
No peak broadening, texture or thermal motion is included.

The 8 most intense peaks (2θ = 10–90°), by intensity:
Position (°2θ)	I (rel.)
24.7	100
36.2	88
34.3	55
42.8	50
55.9	38
58.6	33
30.2	29
62.7	26

Structural model:
Lattice parameters (Å, degrees): 5.2267 5.2267 5.9275 90.00 90.00 120.00
Space group P-3 (No. 147)
Unique sites:
Ca (0.0000, 0.0000, 0.0000) (multiplicity 1)
Mn (0.3333, 0.6667, 0.3292) (multiplicity 2)
B (0.3333, 0.6667, 0.7671) (multiplicity 2)
O (0.0718, 0.6742, 0.7598) (multiplicity 6)

***

[2]
Starting from a PBE+U-relaxed structure, the XRD peak list of CaMn3B4O12 was calculated for copper Kα.
No peak broadening, texture or thermal motion is included.

The 8 most intense peaks (2θ = 10–90°), by intensity:
Position (°2θ)	I (rel.)
32.4	100
46.7	52
24.7	50
31.2	33
18.7	33
53.4	18
54.0	16
58.2	15

Structural model:
Lattice parameters (Å, degrees): 9.5044 9.5044 7.4539 90.00 90.00 120.00
Space group R32 (No. 155, hexagonal axes)
Unique sites:
Ca (0.0000, 0.0000, 0.0000) (multiplicity 3)
Mn (0.0000, 0.5561, 0.0000) (multiplicity 9)
B (0.0000, 0.0000, 0.5000) (multiplicity 3)
B (0.0000, 0.4393, 0.5000) (multiplicity 9)
O (0.0000, 0.5874, 0.5000) (multiplicity 9)
O (0.0000, 0.8539, 0.5000) (multiplicity 9)
O (0.0316, 0.2174, 0.1902) (multiplicity 18)